Entry 1:
The following is a theoretical powder diffraction line list of Tl2NiS2. It was derived from a PBE-relaxed structure, using Cu Ka.

Main lines, sorted by position (2θ = 15–90°):
Position (°2θ)	I_rel
15.15	65
25.66	24
29.93	100
30.57	17
36.60	39
39.82	25
40.33	34
48.41	20
53.94	20
61.83	26

Atomic structure:
Cell: 4.910 4.910 11.696 Å, 90.00 90.00 90.00°
Space group I4/mmm (No. 139)
Asymmetric unit:
1 Tl 0.000 0.500 0.250 (multiplicity 4)
2 Ni 0.000 0.000 0.000 (multiplicity 2)
3 S 0.000 0.000 0.372 (multiplicity 4)

---

Entry 2:
The following is a theoretical powder diffraction line list of ZnNi4S8. It was derived from a PBE-relaxed structure, using Cu Ka.

Main lines, sorted by position (2θ = 15–90°):
Position (°2θ)	I_rel
15.95	73
18.44	9
30.81	22
37.37	100
49.20	17
53.89	61
56.56	13
67.41	19
69.79	8
79.70	8

Atomic structure:
Cell: 6.8075 6.8075 16.6619 Å, 90.00 90.00 120.00°
Space group R-3m (No. 166, hexagonal axes)
Asymmetric unit:
1 Zn 0.0000 0.0000 0.0000 (multiplicity 3)
2 Ni 0.0000 0.0000 0.5000 (multiplicity 3)
3 Ni 0.0000 0.5000 0.0000 (multiplicity 9)
4 S 0.0000 0.0000 0.2626 (multiplicity 6)
5 S 0.0306 0.5153 0.2573 (multiplicity 18)

---

Entry 3:
The following is a theoretical powder diffraction line list of ZnNi2S5. It was derived from a PBE-relaxed structure, using Cu Ka.

Main lines, sorted by position (2θ = 15–90°):
Position (°2θ)	I_rel
19.22	100
28.65	58
29.43	52
30.23	30
36.51	36
40.19	76
42.33	31
43.08	42
54.16	31
56.64	48

Atomic structure:
Cell: 3.567 13.330 6.404 Å, 90.00 90.00 90.00°
Space group Pmmn (No. 59, origin choice 2)
Asymmetric unit:
1 Zn 0.250 0.250 0.107 (multiplicity 2)
2 Ni 0.250 0.605 0.466 (multiplicity 4)
3 S 0.250 0.053 0.357 (multiplicity 4)
4 S 0.250 0.670 0.146 (multiplicity 4)
5 S 0.250 0.750 0.639 (multiplicity 2)

---

Entry 4:
The following is a theoretical powder diffraction line list of ZnNi4S8. It was derived from a PBE-relaxed structure, using Cu Ka.

Main lines, sorted by position (2θ = 15–90°):
Position (°2θ)	I_rel
15.30	66
16.06	16
31.15	14
37.18	100
48.19	15
52.58	29
54.60	32
57.07	11
67.92	15
89.32	9

Atomic structure:
Cell: 6.7229 6.7229 17.3692 Å, 90.00 90.00 120.00°
Space group R-3m (No. 166, hexagonal axes)
Asymmetric unit:
1 Zn 0.0000 0.0000 0.0000 (multiplicity 3)
2 Ni 0.0000 0.0000 0.5000 (multiplicity 3)
3 Ni 0.0000 0.5000 0.5000 (multiplicity 9)
4 S 0.0000 0.0000 0.2347 (multiplicity 6)
5 S 0.0085 0.5043 0.7635 (multiplicity 18)

---

Entry 5:
The following is a theoretical powder diffraction line list of NiSb3. It was derived from a PBE-relaxed structure, using Cu Ka.

Main lines, sorted by position (2θ = 15–90°):
Position (°2θ)	I_rel
30.55	100
36.33	35
41.40	9
43.75	25
46.01	11
48.18	17
50.28	23
58.13	18
68.82	18
89.98	12

Atomic structure:
Cell: 9.252 9.252 9.252 Å, 90.00 90.00 90.00°
Space group Im-3 (No. 204)
Asymmetric unit:
1 Ni 0.250 0.250 0.250 (multiplicity 8)
2 Sb 0.000 0.160 0.338 (multiplicity 24)

---

Entry 6:
The following is a theoretical powder diffraction line list of Ni3Sb. It was derived from a PBE-relaxed structure, using Cu Ka.

Main lines, sorted by position (2θ = 15–90°):
Position (°2θ)	I_rel
23.88	10
34.03	8
42.00	100
48.89	47
55.12	4
60.90	3
71.64	28
76.74	2
81.73	2
86.67	34

Atomic structure:
Cell: 3.726 3.726 3.726 Å, 90.00 90.00 90.00°
Space group Pm-3m (No. 221)
Asymmetric unit:
1 Ni 0.000 0.000 0.500 (multiplicity 3)
2 Sb 0.500 0.500 0.500 (multiplicity 1)

---

Entry 7:
The following is a theoretical powder diffraction line list of Ni3Sb. It was derived from a PBE-relaxed structure, using Cu Ka.

Main lines, sorted by position (2θ = 15–90°):
Position (°2θ)	I_rel
39.24	19
39.78	16
42.46	37
44.85	100
45.34	40
59.18	11
71.85	14
79.37	17
87.17	17
88.13	12

Atomic structure:
Cell: 4.258 5.326 4.532 Å, 90.00 90.00 90.00°
Space group Pmmn (No. 59, origin choice 2)
Asymmetric unit:
1 Ni 0.250 0.000 0.170 (multiplicity 4)
2 Ni 0.250 0.250 0.680 (multiplicity 2)
3 Sb 0.250 0.750 0.678 (multiplicity 2)

---

Entry 8:
The following is a theoretical powder diffraction line list of Ni3Sb. It was derived from a PBE-relaxed structure, using Cu Ka.

Main lines, sorted by position (2θ = 15–90°):
Position (°2θ)	I_rel
28.63	12
34.06	5
39.53	25
42.30	27
45.07	100
59.27	14
71.71	15
79.31	17
86.94	18
88.85	13

Atomic structure:
Cell: 5.2646 5.2646 4.2734 Å, 90.00 90.00 120.00°
Space group P6_3/mmc (No. 194)
Asymmetric unit:
1 Ni 0.1623 0.3247 0.2500 (multiplicity 6)
2 Sb 0.3333 0.6667 0.7500 (multiplicity 2)

---

Entry 9:
The following is a theoretical powder diffraction line list of Ni3Sb. It was derived from a PBE-relaxed structure, using Cu Ka.

Main lines, sorted by position (2θ = 15–90°):
Position (°2θ)	I_rel
26.08	8
30.20	4
43.24	100
51.19	4
53.64	1
62.80	16
69.19	2
71.26	2
79.30	31
85.19	1

Atomic structure:
Cell: 5.918 5.918 5.918 Å, 90.00 90.00 90.00°
Space group Fm-3m (No. 225)
Asymmetric unit:
1 Ni 0.000 0.000 0.000 (multiplicity 4)
2 Ni 0.250 0.250 0.250 (multiplicity 8)
3 Sb 0.000 0.000 0.500 (multiplicity 4)

---

Entry 10:
The following is a theoretical powder diffraction line list of NiSbSe. It was derived from a PBE-relaxed structure, using Cu Ka.

Main lines, sorted by position (2θ = 15–90°):
Position (°2θ)	I_rel
32.71	100
35.94	72
41.73	10
49.38	52
54.01	19
56.23	39
70.50	20
81.75	14
85.40	19
87.23	11

Atomic structure:
Cell: 6.122 6.122 6.122 Å, 90.00 90.00 90.00°
Space group P2_13 (No. 198)
Asymmetric unit:
1 Ni 0.010 0.490 0.510 (multiplicity 4)
2 Sb 0.131 0.869 0.369 (multiplicity 4)
3 Se 0.125 0.625 0.875 (multiplicity 4)

---

Entry 11:
The following is a theoretical powder diffraction line list of SmNiSb. It was derived from a PBE-relaxed structure, using Cu Ka.

Main lines, sorted by position (2θ = 15–90°):
Position (°2θ)	I_rel
23.50	6
26.00	7
32.44	100
41.31	49
44.95	13
53.47	24
62.68	29
69.73	21
74.96	9
75.30	9

Atomic structure:
Cell: 4.3714 4.3714 8.0666 Å, 90.00 90.00 120.00°
Space group P6_3/mmc (No. 194)
Asymmetric unit:
1 Sm 0.0000 0.0000 0.0000 (multiplicity 2)
2 Ni 0.3333 0.6667 0.2500 (multiplicity 2)
3 Sb 0.3333 0.6667 0.7500 (multiplicity 2)

---

Entry 12:
The following is a theoretical powder diffraction line list of SmNiSb2. It was derived from a PBE-relaxed structure, using Cu Ka.

Main lines, sorted by position (2θ = 15–90°):
Position (°2θ)	I_rel
27.57	16
30.22	23
34.41	100
34.78	36
41.04	52
52.19	16
54.86	19
59.43	17
68.45	14
70.51	24

Atomic structure:
Cell: 4.399 4.399 9.554 Å, 90.00 90.00 90.00°
Space group P4/nmm (No. 129, origin choice 2)
Asymmetric unit:
1 Sm 0.250 0.250 0.241 (multiplicity 2)
2 Ni 0.250 0.750 0.000 (multiplicity 2)
3 Sb 0.250 0.250 0.864 (multiplicity 2)
4 Sb 0.250 0.750 0.500 (multiplicity 2)

---

Entry 13:
The following is a theoretical powder diffraction line list of SmNiSb3. It was derived from a PBE-relaxed structure, using Cu Ka.

Main lines, sorted by position (2θ = 15–90°):
Position (°2θ)	I_rel
28.61	57
29.89	32
32.03	74
32.43	64
35.31	100
35.96	54
36.30	78
37.69	36
41.16	89
50.90	31

Atomic structure:
Cell: 12.475 6.250 18.471 Å, 90.00 90.00 90.00°
Space group Pbcm (No. 57)
Asymmetric unit:
1 Sm 0.194 0.060 0.250 (multiplicity 4)
2 Sm 0.200 0.528 0.084 (multiplicity 8)
3 Ni 0.395 0.250 0.000 (multiplicity 4)
4 Ni 0.398 0.672 0.676 (multiplicity 8)
5 Sb 0.004 0.250 0.000 (multiplicity 4)
6 Sb 0.004 0.705 0.666 (multiplicity 8)
7 Sb 0.270 0.026 0.084 (multiplicity 8)
8 Sb 0.274 0.554 0.250 (multiplicity 4)
9 Sb 0.442 0.186 0.250 (multiplicity 4)
10 Sb 0.474 0.542 0.087 (multiplicity 8)